Diffraction record for RbMg6CoO8. The X-ray powder pattern is simulated, not measured: it uses a DFT-relaxed cell (GGA+U, the Materials Project) and Cu Kα (weighted mean of Kα1 and Kα2).

Top 6 peaks for 10 to 90 degrees two-theta, sorted by position:
- 2θ 34.90, intensity 49
- 2θ 39.81, intensity 50
- 2θ 40.86, intensity 100
- 2θ 58.37, intensity 57
- 2θ 59.16, intensity 29
- 2θ 73.70, intensity 26

abc: 4.4171 4.4171 9.0564
angles: 90.00 90.00 90.00
Atoms (fractional coordinates):
Rb  0.0000  0.0000  0.0000
Mg  0.0000  0.0000  0.5000
Mg  0.0000  0.5000  0.2670
Mg  0.0000  0.5000  0.7330
Mg  0.5000  0.0000  0.2670
Mg  0.5000  0.0000  0.7330
Mg  0.5000  0.5000  0.5000
Co  0.5000  0.5000  0.0000
O  0.0000  0.0000  0.2804
O  0.0000  0.0000  0.7196
O  0.0000  0.5000  0.0000
O  0.0000  0.5000  0.5000
O  0.5000  0.0000  0.0000
O  0.5000  0.0000  0.5000
O  0.5000  0.5000  0.2543
O  0.5000  0.5000  0.7457